Diffraction record for K3Te3As. The powder X-ray diffraction pattern is computed, not measured: it uses a cell relaxed with GGA-PBE and Cu Kα (λ = 1.5418 Å).
Kinematic intensities with the Lorentz-polarization factor, no thermal factor.

Top 8 peaks for 2θ from 5° to 70°, most intense first:
32.97 deg, I = 1000, (0 2 0); 31.68 deg, I = 855, (2 1 4); 26.30 deg, I = 850, (3 1 1); 20.94 deg, I = 722, (2 1 0); 14.30 deg, I = 705, (2 0 1); 27.48 deg, I = 652, (2 1 3); 40.95 deg, I = 509, (3 0 6); 23.53 deg, I = 490, (0 0 4)

Crystal structure
Cell lengths 13.574, 5.433, 15.122 Å; angles 90.00, 90.00, 90.00 degrees
Space group Pnma (No. 62)
One atom of each set of equivalent atoms:
K 0.061 0.250 0.106 [4 per cell]
K 0.141 0.750 0.478 [4 per cell]
K 0.231 0.750 0.779 [4 per cell]
Te 0.012 0.250 0.335 [4 per cell]
Te 0.108 0.250 0.873 [4 per cell]
Te 0.237 0.250 0.616 [4 per cell]
As 0.063 0.250 0.698 [4 per cell]